# TbZn
Computed X-ray diffraction stick pattern, a wavelength of 1.5418 Å. Input: the GGA-PBE geometry in the Materials Project.

Main lines, in order of falling intensity (10 to 80 degrees two-theta):
Position (°2θ), I_rel, (hkl)
35.40, 100, 1 1 0
63.56, 36, 2 1 1
50.94, 18, 2 0 0
24.83, 17, 1 0 0
74.91, 11, 2 2 0
57.47, 7, 2 1 0
43.73, 5, 1 1 1

Atomic structure:
Cell lengths 3.585, 3.585, 3.585 Å; angles 90.00, 90.00, 90.00 degrees
Space group Pm-3m (No. 221)
Inequivalent atoms, fractional coordinates:
Tb 0.000 0.000 0.000 [1 per cell]
Zn 0.500 0.500 0.500 [1 per cell]